[1]
# CsPuClF2
Calculated powder XRD pattern, λ = 1.5418 Å (Cu Kα). Input: a structure optimized by DFT (PBE).

The 10 most intense peaks (5 to 70 degrees two-theta), sorted by position:
| 2θ/deg | d_spacing | intensity |
| --- | --- | --- |
| 11.95 | 7.409 | 18 |
| 23.39 | 3.804 | 100 |
| 24.02 | 3.704 | 20 |
| 28.48 | 3.134 | 36 |
| 31.47 | 2.842 | 19 |
| 37.59 | 2.393 | 28 |
| 41.88 | 2.157 | 19 |
| 46.83 | 1.940 | 11 |
| 47.40 | 1.918 | 16 |
| 47.56 | 1.912 | 15 |

```
CsPuClF2
1.0
4.421 0.000 0.000
0.000 4.445 0.000
0.000 0.000 7.409
Cs Pu Cl F
1 1 1 2
direct
0.000 0.000 0.000 Cs
0.500 0.500 0.423 Pu
0.500 0.500 0.793 Cl
0.000 0.500 0.300 F
0.500 0.000 0.305 F
```

***

[2]
# Cs3Rb2Cl3F2
Calculated powder XRD pattern, λ = 1.5418 Å (Cu Kα). Input: a structure optimized by DFT (PBE).

The 10 most intense peaks (5 to 70 degrees two-theta), sorted by position:
| 2θ/deg | d_spacing | intensity |
| --- | --- | --- |
| 19.59 | 4.531 | 78 |
| 23.25 | 3.825 | 53 |
| 24.43 | 3.643 | 65 |
| 24.95 | 3.568 | 100 |
| 25.23 | 3.530 | 88 |
| 27.49 | 3.245 | 67 |
| 30.91 | 2.893 | 41 |
| 34.82 | 2.576 | 94 |
| 40.13 | 2.247 | 44 |
| 43.32 | 2.089 | 86 |

```
Cs3Rb2Cl3F2
1.0
-2.576 2.576 14.273
2.576 -2.576 14.273
2.576 2.576 -14.273
Cs Rb Cl F
3 2 3 2
direct
0.000 0.000 0.000 Cs
0.380 0.380 0.000 Cs
0.620 0.620 0.000 Cs
0.250 0.750 0.500 Rb
0.750 0.250 0.500 Rb
0.129 0.129 0.000 Cl
0.500 0.500 0.000 Cl
0.871 0.871 0.000 Cl
0.280 0.280 0.000 F
0.720 0.720 0.000 F
```

***

[3]
# Cs2ReCl5F
Calculated powder XRD pattern, λ = 1.5418 Å (Cu Kα). Input: a structure optimized by DFT (PBE).

The 10 most intense peaks (5 to 70 degrees two-theta), sorted by position:
| 2θ/deg | d_spacing | intensity |
| --- | --- | --- |
| 14.65 | 6.048 | 96 |
| 23.99 | 3.709 | 100 |
| 24.10 | 3.693 | 40 |
| 28.32 | 3.152 | 27 |
| 29.54 | 3.024 | 27 |
| 34.03 | 2.635 | 25 |
| 34.34 | 2.611 | 51 |
| 42.33 | 2.135 | 43 |
| 49.12 | 1.855 | 32 |
| 55.62 | 1.652 | 21 |

```
Cs2ReCl5F
1.0
-3.693 3.693 5.270
3.693 -3.693 5.270
3.693 3.693 -5.270
Cs Re Cl F
2 1 5 1
direct
0.000 0.500 0.500 Cs
0.500 0.000 0.500 Cs
0.252 0.252 0.000 Re
0.020 0.020 0.544 Cl
0.020 0.477 0.000 Cl
0.477 0.020 0.000 Cl
0.477 0.477 0.000 Cl
0.477 0.477 0.456 Cl
0.064 0.064 0.000 F
```

***

[4]
# Cs2RuCl5F
Calculated powder XRD pattern, λ = 1.5418 Å (Cu Kα). Input: a structure optimized by DFT (PBE).

The 10 most intense peaks (5 to 70 degrees two-theta), sorted by position:
| 2θ/deg | d_spacing | intensity |
| --- | --- | --- |
| 14.71 | 6.023 | 67 |
| 23.97 | 3.713 | 40 |
| 24.21 | 3.676 | 100 |
| 29.66 | 3.012 | 71 |
| 34.15 | 2.625 | 61 |
| 34.85 | 2.575 | 28 |
| 42.30 | 2.136 | 42 |
| 49.07 | 1.856 | 20 |
| 49.59 | 1.838 | 36 |
| 61.59 | 1.506 | 18 |

```
Cs2RuCl5F
1.0
-3.713 3.713 5.149
3.713 -3.713 5.149
3.713 3.713 -5.149
Cs Ru Cl F
2 1 5 1
direct
0.000 0.500 0.500 Cs
0.500 0.000 0.500 Cs
0.248 0.248 0.000 Ru
0.023 0.023 0.000 Cl
0.026 0.026 0.549 Cl
0.026 0.476 0.000 Cl
0.476 0.026 0.000 Cl
0.476 0.476 0.451 Cl
0.437 0.437 0.000 F
```

***

[5]
# Cs3Sr2Cl2F5
Calculated powder XRD pattern, λ = 1.5418 Å (Cu Kα). Input: a structure optimized by DFT (PBE).

The 10 most intense peaks (5 to 70 degrees two-theta), sorted by position:
| 2θ/deg | d_spacing | intensity |
| --- | --- | --- |
| 24.42 | 3.645 | 98 |
| 25.88 | 3.443 | 100 |
| 29.22 | 3.056 | 39 |
| 32.55 | 2.751 | 47 |
| 36.92 | 2.435 | 64 |
| 42.06 | 2.148 | 20 |
| 44.76 | 2.025 | 40 |
| 47.73 | 1.905 | 35 |
| 53.20 | 1.722 | 19 |
| 60.09 | 1.540 | 20 |

```
Cs3Sr2Cl2F5
1.0
-2.435 2.435 13.740
2.435 -2.435 13.740
2.435 2.435 -13.740
Cs Sr Cl F
3 2 2 5
direct
0.000 0.000 0.000 Cs
0.177 0.177 0.000 Cs
0.823 0.823 0.000 Cs
0.413 0.413 0.000 Sr
0.587 0.587 0.000 Sr
0.305 0.305 0.000 Cl
0.695 0.695 0.000 Cl
0.086 0.586 0.500 F
0.414 0.914 0.500 F
0.500 0.500 0.000 F
0.586 0.086 0.500 F
0.914 0.414 0.500 F
```

***

[6]
# Cs2TaClF6
Calculated powder XRD pattern, λ = 1.5418 Å (Cu Kα). Input: a structure optimized by DFT (PBE).

The 10 most intense peaks (5 to 70 degrees two-theta), sorted by position:
| 2θ/deg | d_spacing | intensity |
| --- | --- | --- |
| 17.85 | 4.968 | 56 |
| 18.03 | 4.921 | 54 |
| 22.37 | 3.975 | 100 |
| 23.27 | 3.823 | 72 |
| 23.40 | 3.802 | 68 |
| 24.53 | 3.630 | 51 |
| 28.14 | 3.171 | 66 |
| 28.47 | 3.135 | 64 |
| 31.80 | 2.814 | 39 |
| 36.33 | 2.473 | 34 |

```
Cs2TaClF6
1.0
5.628 0.000 0.000
2.743 5.712 0.000
2.786 2.158 7.626
Cs Ta Cl F
2 1 1 6
direct
0.202 0.278 0.319 Cs
0.798 0.722 0.681 Cs
0.000 0.000 0.000 Ta
0.500 0.500 0.500 Cl
0.100 0.036 0.749 F
0.129 0.252 0.966 F
0.349 0.757 0.026 F
0.651 0.243 0.974 F
0.871 0.748 0.034 F
0.900 0.964 0.251 F
```

***

[7]
# Cs2TcCl2F4
Calculated powder XRD pattern, λ = 1.5418 Å (Cu Kα). Input: a structure optimized by DFT (PBE).

The 10 most intense peaks (5 to 70 degrees two-theta), sorted by position:
| 2θ/deg | d_spacing | intensity |
| --- | --- | --- |
| 14.57 | 6.078 | 34 |
| 21.14 | 4.203 | 100 |
| 25.50 | 3.494 | 36 |
| 27.00 | 3.302 | 38 |
| 29.42 | 3.036 | 13 |
| 33.37 | 2.685 | 66 |
| 33.85 | 2.648 | 19 |
| 35.63 | 2.520 | 15 |
| 42.20 | 2.141 | 19 |
| 55.67 | 1.651 | 13 |

```
Cs2TcCl2F4
1.0
5.623 -3.494 0.000
5.623 3.494 0.000
-0.198 0.000 6.078
Cs Tc Cl F
2 1 2 4
direct
0.166 0.166 0.219 Cs
0.834 0.834 0.781 Cs
0.500 0.500 0.000 Tc
0.350 0.350 0.715 Cl
0.650 0.650 0.285 Cl
0.208 0.617 0.150 F
0.383 0.792 0.850 F
0.617 0.208 0.150 F
0.792 0.383 0.850 F
```

***

[8]
# Cs2ThCl5F
Calculated powder XRD pattern, λ = 1.5418 Å (Cu Kα). Input: a structure optimized by DFT (PBE).

The 10 most intense peaks (5 to 70 degrees two-theta), sorted by position:
| 2θ/deg | d_spacing | intensity |
| --- | --- | --- |
| 14.00 | 6.327 | 94 |
| 22.52 | 3.948 | 44 |
| 23.17 | 3.839 | 100 |
| 26.62 | 3.349 | 38 |
| 28.21 | 3.163 | 20 |
| 32.07 | 2.791 | 56 |
| 33.90 | 2.644 | 23 |
| 39.93 | 2.258 | 49 |
| 45.98 | 1.974 | 20 |
| 47.35 | 1.920 | 35 |

```
Cs2ThCl5F
1.0
-3.948 3.948 5.289
3.948 -3.948 5.289
3.948 3.948 -5.289
Cs Th Cl F
2 1 5 1
direct
0.000 0.500 0.500 Cs
0.500 0.000 0.500 Cs
0.252 0.252 0.000 Th
0.005 0.005 0.514 Cl
0.005 0.492 0.000 Cl
0.492 0.005 0.000 Cl
0.492 0.492 0.486 Cl
0.997 0.997 0.000 Cl
0.455 0.455 0.000 F
```